Starting from a cell relaxed with PBE, the XRD peak list of HoTm6Lu was simulated for Cu Kα (λ = 1.5418 Å).
Peak positions follow from Bragg's law for the DFT cell and can differ from measured ones.

Crystal structure
```
data_HoTm6Lu
_symmetry_space_group_name_H-M 'P 1'
_symmetry_Int_Tables_number 1
_cell_length_a 7.0813
_cell_length_b 7.0813
_cell_length_c 5.5106
_cell_angle_alpha 90.00
_cell_angle_beta 90.00
_cell_angle_gamma 120.00
loop_
_symmetry_equiv_pos_as_xyz
'x,y,z'
loop_
_atom_site_label
_atom_site_fract_x
_atom_site_fract_y
_atom_site_fract_z
Ho1 0.0000 0.0000 0.0000
Tm1 0.0007 0.5004 0.0000
Tm2 0.1670 0.3340 0.5000
Tm3 0.1670 0.8330 0.5000
Tm4 0.4996 0.5004 0.0000
Tm5 0.4996 0.9993 0.0000
Tm6 0.6660 0.8330 0.5000
Lu1 0.6667 0.3333 0.5000
```

Top 10 peaks for 10° ≤ 2θ ≤ 90°, in order of rising 2θ:
2theta, I/Imax, index
29.12, 24, 2 0 0
32.50, 24, 0 0 2
33.44, 100, 2 0 1
44.19, 15, 2 0 2
51.63, 20, 2 2 0
58.58, 20, 2 0 3
62.34, 22, 2 2 2
62.92, 16, 4 0 1
81.83, 8, 4 0 3
85.65, 14, 4 2 1